No. 1
This entry pairs a crystal structure of La2ZnSe4 with its theoretical powder XRD pattern. Radiation: copper Kα. Structure: a crystal structure in Alexandria, relaxed with GGA-PBE.
No peak broadening, texture or thermal motion is included.

Top 10 peaks for 5° ≤ 2θ ≤ 70°, in order of rising 2θ:
| index | 2theta | Rel. int. |
| --- | --- | --- |
| 1 1 0 | 18.59 | 23 |
| 0 2 0 | 25.52 | 33 |
| 1 2 0 | 28.99 | 30 |
| 2 0 -2 | 29.67 | 25 |
| 1 0 2 | 29.75 | 24 |
| 2 1 -2 | 32.42 | 100 |
| 1 2 -2 | 34.26 | 58 |
| 2 2 0 | 37.69 | 28 |
| 1 0 -4 | 43.62 | 28 |
| 2 3 -2 | 49.53 | 29 |

Structural model:
Cell lengths 6.8684, 6.9815, 8.2996 Å; angles 90.00, 107.72, 90.00 degrees
Space group P2_1/m (No. 11)
Unique sites:
La (0.2263, 0.2500, 0.0575) x2
La (0.2397, 0.2500, 0.5599) x2
Zn (0.2426, 0.7500, 0.8092) x2
Se (0.0105, 0.5103, 0.2557) x4
Se (0.4409, 0.7500, 0.6108) x2
Se (0.4420, 0.7500, 0.1082) x2

No. 2
This entry pairs a crystal structure of Cs2Pu2NpSe6 with its theoretical powder XRD pattern. Radiation: copper Kα. Structure: a crystal structure in Alexandria, relaxed with GGA-PBE.
No peak broadening, texture or thermal motion is included.

Top 10 peaks for 5° ≤ 2θ ≤ 70°, in order of rising 2θ:
| index | 2theta | Rel. int. |
| --- | --- | --- |
| 0 0 1 | 10.37 | 70 |
| 0 0 2 | 20.83 | 16 |
| 1 3 -1 | 25.27 | 17 |
| 1 3 1 | 28.05 | 100 |
| 1 3 2 | 34.68 | 15 |
| 2 0 2 | 37.31 | 33 |
| 0 6 0 | 42.72 | 36 |
| 2 0 -4 | 43.12 | 14 |
| 3 3 -2 | 44.08 | 14 |
| 4 0 0 | 51.88 | 18 |

Structural model:
Cell lengths 7.3379, 12.6921, 8.8767 Å; angles 90.00, 106.13, 90.00 degrees
Space group C2/m (No. 12)
Unique sites:
Cs (0.0000, 0.1678, 0.0000) x4
Pu (0.0000, 0.3336, 0.5000) x4
Np (0.0000, 0.0000, 0.5000) x2
Se (0.2247, 0.1644, 0.6797) x8
Se (0.2324, 0.5000, 0.6795) x4